# 1
Calculated X-ray powder pattern
Compound: PmPr6HoTm2
Radiation: Cu Kα X-rays
Structure: a cell relaxed with GGA-PBE
Neutral-atom scattering factors, no anomalous dispersion.

Peak list (6 most intense, 10 to 90 degrees two-theta, by intensity)
30.6°, d 2.918, I = 100
30.2°, d 2.955, I = 71
29.7°, d 3.006, I = 56
28.0°, d 3.185, I = 44
30.9°, d 2.893, I = 42
33.4°, d 2.679, I = 37

Cell and atoms:
```
20
Lattice="4.6938 -7.6726 0.0000 4.6938 7.6726 0.0000 -1.1677 0.0000 9.5988" Properties=species:S:1:pos:R:3 pbc="T T T"
Pm 3.8181 7.2108 7.1991
Pm 4.4019 -7.2108 2.3997
Pr 1.8527 4.2666 6.5987
Pr 4.0496 4.9841 0.5302
Pr 4.7542 4.9841 4.2692
Pr 2.7669 1.6882 8.4783
Pr 5.7834 4.2666 7.7996
Pr 4.8692 1.6882 5.9200
Pr 3.3508 -1.6882 3.6789
Pr 2.4366 -4.2666 1.7993
Pr 5.4531 -1.6882 1.1205
Pr 3.4657 -4.9841 5.3297
Pr 4.1704 -4.9841 9.0686
Pr 6.3673 -4.2666 3.0001
Ho 4.4019 1.3491 2.3997
Ho 3.8181 -1.3491 7.1991
Tm 1.7088 0.7364 5.2698
Tm 2.2927 -0.7364 0.4703
Tm 5.9273 0.7364 9.1285
Tm 6.5112 -0.7364 4.3291
```

=====

# 2
Calculated X-ray powder pattern
Compound: PmPr2Ho4Tm
Radiation: Cu Kα X-rays
Structure: a cell relaxed with GGA-PBE
Neutral-atom scattering factors, no anomalous dispersion.

Peak list (6 most intense, 10 to 90 degrees two-theta, by intensity)
30.3°, d 2.952, I = 100
40.9°, d 2.204, I = 88
26.9°, d 3.315, I = 67
30.1°, d 2.968, I = 50
40.8°, d 2.211, I = 44
64.4°, d 1.446, I = 34

Cell and atoms:
```
16
Lattice="-3.4022 5.9362 6.6299 3.4022 -5.9362 6.6299 3.4022 5.9362 -6.6299" Properties=species:S:1:pos:R:3 pbc="T T T"
Pm 0.0000 0.0000 0.0000
Pm 0.0000 5.9362 0.0000
Pr 3.4022 0.0000 0.0000
Pr -1.7011 2.9681 3.3150
Pr 0.0000 0.0000 6.6299
Pr 1.7011 2.9681 3.3150
Ho 1.7001 2.9681 -0.0895
Ho 1.7021 -2.9681 6.5405
Ho 3.4022 5.8611 -3.3170
Ho 3.4022 -0.0751 3.3170
Ho 0.0000 6.0113 3.3130
Ho 0.0000 0.0751 9.9469
Ho 1.7001 8.9043 0.0895
Ho 1.7021 2.9681 6.7194
Tm 1.7011 2.9681 -3.3150
Tm 1.7011 -2.9681 3.3150
```

=====

# 3
Calculated X-ray powder pattern
Compound: Pm2PrHo2Tm
Radiation: Cu Kα X-rays
Structure: a cell relaxed with GGA-PBE
Neutral-atom scattering factors, no anomalous dispersion.

Peak list (6 most intense, 10 to 90 degrees two-theta, by intensity)
31.6°, d 2.835, I = 100
31.3°, d 2.861, I = 93
56.0°, d 1.642, I = 35
45.0°, d 2.014, I = 34
62.1°, d 1.495, I = 29
56.2°, d 1.637, I = 19

Cell and atoms:
```
12
Lattice="7.0396 0.0000 0.0000 0.0000 5.6706 0.0000 0.0000 0.0000 9.8180" Properties=species:S:1:pos:R:3 pbc="T T T"
Pm 0.0000 0.0000 0.0000
Pm 1.7599 2.8353 1.7427
Pm 3.5198 0.0000 0.0000
Pm 5.2797 2.8353 8.0753
Pr 1.7599 0.0000 6.4317
Pr 5.2797 0.0000 3.3863
Ho 1.7599 0.0000 3.2158
Ho 1.7599 2.8353 8.2200
Ho 5.2797 0.0000 6.6023
Ho 5.2797 2.8353 1.5980
Tm 0.0000 2.8353 4.9090
Tm 3.5198 2.8353 4.9090
```